Simulated powder diffraction line list of SrEuMn4O12 for Cu Kα, 1.54184 Å, from a PBE+U-relaxed structure.
No peak broadening, texture or thermal motion is included.

Principal peaks in the range 2θ = 5–70°, in order of rising 2θ:
2θ (°)  I/Imax  h k l
20.3  84  1 0 1
33.4  100  2 0 0
39.4  46  2 1 1
48.0  46  2 2 0
52.6  20  2 1 3
59.7  38  2 0 4

Cell and atoms:
```
data_SrEuMn4O12
_cell_length_a 5.3642
_cell_length_b 5.3642
_cell_length_c 7.5883
_cell_angle_alpha 90.00
_cell_angle_beta 90.00
_cell_angle_gamma 90.00
_symmetry_space_group_name_H-M 'P 4/m m m'
_symmetry_Int_Tables_number 123
_symmetry_space_group_name_Hall '-P 4 2'
loop_
_atom_site_label
_atom_site_fract_x
_atom_site_fract_y
_atom_site_fract_z
Sr1 0.0000 0.0000 0.0000
Eu1 0.5000 0.5000 0.5000
Mn1 0.0000 0.5000 0.2484
O1 0.0000 0.5000 0.0000
O2 0.0000 0.5000 0.5000
O3 0.2555 0.2555 0.2609
```